# 1
Structure and computed powder X-ray diffraction pattern of Cs2NaRuF6 (a structure optimized by DFT (GGA-PBE); copper Kα).
Lines closer than 0.1° are merged.

Main lines, in order of falling intensity (2θ from 10° to 90°):
28.35°, I 100; 50.19°, I 40; 40.52°, I 38; 58.64°, I 23; 80.75°, I 21; 34.90°, I 19; 66.39°, I 19; 17.25°, I 17; 73.71°, I 7; 19.94°, I 7; 33.37°, I 6; 70.09°, I 6

Atomic structure:
a b c (Å): 6.297 6.297 6.297
angles (deg): 60.00 60.00 60.00
Fractional coordinates of all 10 atoms:
Cs (0.250, 0.250, 0.250)
Cs (0.750, 0.750, 0.750)
Na (0.000, 0.000, 0.000)
Ru (0.500, 0.500, 0.500)
F (0.270, 0.270, 0.730)
F (0.270, 0.730, 0.270)
F (0.270, 0.730, 0.730)
F (0.730, 0.270, 0.270)
F (0.730, 0.270, 0.730)
F (0.730, 0.730, 0.270)

---

# 2
Structure and computed powder X-ray diffraction pattern of Cs2NaSmF6 (a structure optimized by DFT (GGA-PBE); copper Kα).
Lines closer than 0.1° are merged.

Main lines, in order of falling intensity (2θ from 10° to 90°):
27.15°, I 100; 47.97°, I 42; 38.77°, I 38; 55.99°, I 24; 16.53°, I 24; 76.76°, I 22; 63.30°, I 19; 31.95°, I 13; 89.50°, I 12; 33.41°, I 11; 70.18°, I 8; 42.40°, I 5

Atomic structure:
a b c (Å): 6.570 6.570 6.570
angles (deg): 60.00 60.00 60.00
Fractional coordinates of all 10 atoms:
Cs (0.250, 0.250, 0.250)
Cs (0.750, 0.750, 0.750)
Na (0.000, 0.000, 0.000)
Sm (0.500, 0.500, 0.500)
F (0.257, 0.257, 0.743)
F (0.257, 0.743, 0.257)
F (0.257, 0.743, 0.743)
F (0.743, 0.257, 0.257)
F (0.743, 0.257, 0.743)
F (0.743, 0.743, 0.257)

---

# 3
Structure and computed powder X-ray diffraction pattern of Cs2NaTaF6 (a structure optimized by DFT (GGA-PBE); copper Kα).
Lines closer than 0.1° are merged.

Main lines, in order of falling intensity (2θ from 10° to 90°):
27.94°, I 100; 39.71°, I 35; 26.76°, I 28; 16.57°, I 28; 17.37°, I 24; 28.78°, I 24; 48.00°, I 23; 57.75°, I 22; 50.48°, I 20; 40.16°, I 17; 48.92°, I 10; 50.15°, I 10

Atomic structure:
a b c (Å): 6.394 6.394 6.394
angles (deg): 121.96 117.21 90.76
Fractional coordinates of all 10 atoms:
Cs (0.243, 0.243, 0.000)
Cs (0.757, 0.757, 0.000)
Na (0.500, 0.000, 0.500)
Ta (0.000, 0.500, 0.500)
F (0.232, 0.732, 0.500)
F (0.248, 0.287, 0.535)
F (0.248, 0.713, 0.962)
F (0.752, 0.287, 0.038)
F (0.752, 0.713, 0.465)
F (0.768, 0.268, 0.500)

---

# 4
Structure and computed powder X-ray diffraction pattern of Cs2NaTbF6 (a structure optimized by DFT (GGA-PBE); copper Kα).
Lines closer than 0.1° are merged.

Main lines, in order of falling intensity (2θ from 10° to 90°):
27.44°, I 100; 48.50°, I 42; 39.19°, I 37; 16.70°, I 26; 56.63°, I 24; 77.72°, I 22; 64.05°, I 19; 32.29°, I 14; 33.77°, I 9; 71.03°, I 8; 51.66°, I 6; 59.48°, I 6

Atomic structure:
a b c (Å): 6.502 6.502 6.502
angles (deg): 60.00 60.00 60.00
Fractional coordinates of all 10 atoms:
Cs (0.250, 0.250, 0.250)
Cs (0.750, 0.750, 0.750)
Na (0.000, 0.000, 0.000)
Tb (0.500, 0.500, 0.500)
F (0.260, 0.260, 0.740)
F (0.260, 0.740, 0.260)
F (0.260, 0.740, 0.740)
F (0.740, 0.260, 0.260)
F (0.740, 0.260, 0.740)
F (0.740, 0.740, 0.260)

---

# 5
Structure and computed powder X-ray diffraction pattern of Cs2NbF6 (a structure optimized by DFT (GGA-PBE); copper Kα).
Lines closer than 0.1° are merged.

Main lines, in order of falling intensity (2θ from 10° to 90°):
23.67°, I 100; 36.46°, I 64; 27.32°, I 63; 46.15°, I 28; 39.20°, I 25; 56.51°, I 21; 48.44°, I 17; 56.37°, I 16; 61.98°, I 14; 62.25°, I 13; 48.29°, I 13; 75.71°, I 9

Atomic structure:
a b c (Å): 6.529 6.529 5.030
angles (deg): 90.00 90.00 120.00
Fractional coordinates of all 9 atoms:
Cs (0.333, 0.667, 0.197)
Cs (0.667, 0.333, 0.803)
Nb (0.000, 0.000, 0.500)
F (0.153, 0.306, 0.708)
F (0.153, 0.847, 0.708)
F (0.306, 0.153, 0.292)
F (0.694, 0.847, 0.708)
F (0.847, 0.153, 0.292)
F (0.847, 0.694, 0.292)

---

# 6
Structure and computed powder X-ray diffraction pattern of CsRb2NbF6 (a structure optimized by DFT (GGA-PBE); copper Kα).
Lines closer than 0.1° are merged.

Main lines, in order of falling intensity (2θ from 10° to 90°):
25.69°, I 100; 45.29°, I 40; 36.64°, I 37; 72.04°, I 23; 52.79°, I 23; 59.61°, I 21; 83.65°, I 11; 89.32°, I 9; 18.09°, I 9; 65.98°, I 7; 77.91°, I 3; 41.15°, I 3

Atomic structure:
a b c (Å): 6.936 6.936 6.936
angles (deg): 60.00 60.00 60.00
Fractional coordinates of all 10 atoms:
Cs (0.000, 0.000, 0.000)
Rb (0.250, 0.250, 0.250)
Rb (0.750, 0.750, 0.750)
Nb (0.500, 0.500, 0.500)
F (0.285, 0.285, 0.715)
F (0.285, 0.715, 0.285)
F (0.285, 0.715, 0.715)
F (0.715, 0.285, 0.285)
F (0.715, 0.285, 0.715)
F (0.715, 0.715, 0.285)

---

# 7
Structure and computed powder X-ray diffraction pattern of Cs2RbNbF6 (a structure optimized by DFT (GGA-PBE); copper Kα).
Lines closer than 0.1° are merged.

Main lines, in order of falling intensity (2θ from 10° to 90°):
26.23°, I 100; 46.28°, I 40; 37.43°, I 35; 73.78°, I 23; 53.97°, I 22; 60.97°, I 20; 85.79°, I 11; 32.27°, I 8; 67.52°, I 7; 79.84°, I 3; 64.29°, I 2; 15.97°, I 2

Atomic structure:
a b c (Å): 6.796 6.796 6.796
angles (deg): 60.00 60.00 60.00
Fractional coordinates of all 10 atoms:
Cs (0.250, 0.250, 0.250)
Cs (0.750, 0.750, 0.750)
Rb (0.000, 0.000, 0.000)
Nb (0.500, 0.500, 0.500)
F (0.280, 0.280, 0.720)
F (0.280, 0.720, 0.280)
F (0.280, 0.720, 0.720)
F (0.720, 0.280, 0.280)
F (0.720, 0.280, 0.720)
F (0.720, 0.720, 0.280)